Entry 1:
The following is a calculated powder diffractogram of ZrBeSb4. It was derived from a PBE-relaxed structure, using Cu Kα (weighted mean of Kα1 and Kα2).
Peak positions follow from Bragg's law for the DFT cell and can differ from measured ones.

Structural model:
```
data_ZrBeSb4
_chemical_formula_sum 'Zr4 Be4 Sb16'
_symmetry_space_group_name_H-M 'F -4 3 m'
_symmetry_Int_Tables_number 216
_symmetry_space_group_name_Hall 'F -4 2 3'
_cell_length_a 8.5611
_cell_length_b 8.5611
_cell_length_c 8.5611
_cell_angle_alpha 90.00
_cell_angle_beta 90.00
_cell_angle_gamma 90.00
loop_
_atom_site_label
_atom_site_fract_x
_atom_site_fract_y
_atom_site_fract_z
Zr1 0.0000 0.0000 0.0000
Be1 0.2500 0.2500 0.7500
Sb1 0.1251 0.1251 0.3749
```

Principal peaks in the range 10° ≤ 2θ ≤ 90°, sorted by position:
Position (°2θ)	Rel. int.	index
17.9	56	1 1 1
34.8	100	3 1 1
36.4	70	2 2 2
42.2	21	4 0 0
55.8	33	3 3 3
61.2	31	4 4 0
73.4	26	6 2 2
87.5	21	7 3 1



Entry 2:
The following is a calculated powder diffractogram of HoTm2Pb2. It was derived from a PBE-relaxed structure, using Cu Kα (weighted mean of Kα1 and Kα2).
Peak positions follow from Bragg's law for the DFT cell and can differ from measured ones.

Structural model:
```
data_HoTm2Pb2
_chemical_formula_sum 'Ho2 Tm4 Pb4'
_symmetry_space_group_name_H-M 'P m m a'
_symmetry_Int_Tables_number 51
_cell_length_a 6.5963
_cell_length_b 4.5555
_cell_length_c 10.0725
_cell_angle_alpha 90.00
_cell_angle_beta 90.00
_cell_angle_gamma 90.00
loop_
_symmetry_equiv_pos_as_xyz
'x,y,z'
'-x,-y,-z'
'-x+1/2,-y,z'
'x+1/2,y,-z'
'x+1/2,-y,-z'
'-x+1/2,y,z'
'-x,y,-z'
'x,-y,z'
loop_
_atom_site_label
_atom_site_fract_x
_atom_site_fract_y
_atom_site_fract_z
Ho1 0.0000 0.0000 0.0000
Tm1 0.2500 0.0000 0.3559
Tm2 0.2500 0.5000 0.7680
Pb1 0.0000 0.5000 0.5000
Pb2 0.2500 0.5000 0.1327
```

Principal peaks in the range 10° ≤ 2θ ≤ 90°, sorted by position:
Position (°2θ)	Rel. int.	index
29.7	41	1 1 2
29.9	23	1 0 3
32.4	53	2 0 2
33.1	79	0 1 3
34.7	100	2 1 1
39.6	37	0 2 0
49.5	25	0 1 5
52.1	28	2 2 2



Entry 3:
The following is a calculated powder diffractogram of SmFe2Co2B. It was derived from a PBE-relaxed structure, using Cu Kα (weighted mean of Kα1 and Kα2).
Peak positions follow from Bragg's law for the DFT cell and can differ from measured ones.

Structural model:
```
data_SmFe2Co2B
_chemical_formula_sum 'Sm4 Fe8 Co8 B4'
_symmetry_space_group_name_H-M 'C m m 2'
_symmetry_Int_Tables_number 35
_cell_length_a 5.0863
_cell_length_b 8.8821
_cell_length_c 6.8732
_cell_angle_alpha 90.00
_cell_angle_beta 90.00
_cell_angle_gamma 90.00
loop_
_symmetry_equiv_pos_as_xyz
'x,y,z'
'-x,-y,z'
'-x,y,z'
'x,-y,z'
'x+1/2,y+1/2,z'
'-x+1/2,-y+1/2,z'
'-x+1/2,y+1/2,z'
'x+1/2,-y+1/2,z'
loop_
_atom_site_label
_atom_site_fract_x
_atom_site_fract_y
_atom_site_fract_z
Sm1 0.0000 0.0000 0.0000
Sm2 0.0000 0.0000 0.4919
Fe1 0.0000 0.3318 0.0030
Fe2 0.2500 0.2500 0.7113
Co1 0.0000 0.5000 0.2877
Co2 0.0000 0.5000 0.7121
Co3 0.2500 0.2500 0.2899
B1 0.0000 0.3355 0.4962
```

Principal peaks in the range 10° ≤ 2θ ≤ 90°, sorted by position:
Position (°2θ)	Rel. int.	index
33.0	100	1 1 2
35.1	23	1 3 0
40.6	29	0 4 0
40.9	57	2 2 0
44.1	75	1 3 2
44.3	36	2 0 2
69.5	19	3 3 2
74.1	16	2 6 0



Entry 4:
The following is a calculated powder diffractogram of AgSb3. It was derived from a PBE-relaxed structure, using Cu Kα (weighted mean of Kα1 and Kα2).
Peak positions follow from Bragg's law for the DFT cell and can differ from measured ones.

Structural model:
```
data_AgSb3
_chemical_formula_sum 'Ag1 Sb3'
_symmetry_space_group_name_H-M 'P -6 m 2'
_symmetry_Int_Tables_number 187
_symmetry_space_group_name_Hall 'P -6 2'
_cell_length_a 3.2769
_cell_length_b 3.2769
_cell_length_c 10.9217
_cell_angle_alpha 90.00
_cell_angle_beta 90.00
_cell_angle_gamma 120.00
loop_
_atom_site_label
_atom_site_fract_x
_atom_site_fract_y
_atom_site_fract_z
Ag1 0.0000 0.0000 0.0000
Sb1 0.0000 0.0000 0.5000
Sb2 0.6667 0.3333 0.2210
```

Principal peaks in the range 10° ≤ 2θ ≤ 90°, sorted by position:
Position (°2θ)	Rel. int.	index
31.5	25	1 0 0
32.8	23	0 0 4
35.7	100	1 0 2
46.1	13	1 0 4
56.1	19	1 1 0
60.4	12	1 0 6
66.6	17	1 1 4
68.3	14	2 0 2



Entry 5:
The following is a calculated powder diffractogram of ScBi2F2. It was derived from a PBE-relaxed structure, using Cu Kα (weighted mean of Kα1 and Kα2).
Peak positions follow from Bragg's law for the DFT cell and can differ from measured ones.

Structural model:
```
data_ScBi2F2
_chemical_formula_sum 'Sc2 Bi4 F4'
_symmetry_space_group_name_H-M 'P 4/m b m'
_symmetry_Int_Tables_number 127
_symmetry_space_group_name_Hall '-P 4 2ab'
_cell_length_a 6.0217
_cell_length_b 6.0217
_cell_length_c 6.4442
_cell_angle_alpha 90.00
_cell_angle_beta 90.00
_cell_angle_gamma 90.00
loop_
_atom_site_label
_atom_site_fract_x
_atom_site_fract_y
_atom_site_fract_z
Sc1 0.0000 0.0000 0.0000
Bi1 0.1989 0.3011 0.5000
F1 0.2392 0.7392 0.0000
```

Principal peaks in the range 10° ≤ 2θ ≤ 90°, sorted by position:
Position (°2θ)	Rel. int.	index
13.7	100	0 0 1
27.7	49	0 0 2
29.7	35	2 0 0
32.8	58	2 0 1
33.3	26	2 1 0
36.1	46	2 1 1
41.0	30	2 0 2
43.8	25	2 1 2



Entry 6:
The following is a calculated powder diffractogram of Ag5Te2AsSe4. It was derived from a PBE-relaxed structure, using Cu Kα (weighted mean of Kα1 and Kα2).
Peak positions follow from Bragg's law for the DFT cell and can differ from measured ones.

Structural model:
```
data_Ag5Te2AsSe4
_chemical_formula_sum 'Ag10 Te4 As2 Se8'
_symmetry_space_group_name_H-M 'A m m 2'
_symmetry_Int_Tables_number 38
_cell_length_a 8.3994
_cell_length_b 12.3495
_cell_length_c 6.0426
_cell_angle_alpha 90.00
_cell_angle_beta 90.00
_cell_angle_gamma 90.00
loop_
_symmetry_equiv_pos_as_xyz
'x,y,z'
'-x,-y,z'
'-x,y,z'
'x,-y,z'
'x,y+1/2,z+1/2'
'-x,-y+1/2,z+1/2'
'-x,y+1/2,z+1/2'
'x,-y+1/2,z+1/2'
loop_
_atom_site_label
_atom_site_fract_x
_atom_site_fract_y
_atom_site_fract_z
Ag1 0.0000 0.0000 0.0000
Ag2 0.2765 0.1956 0.4818
Te1 0.0000 0.2006 0.7709
As1 0.5000 0.0000 0.0634
Se1 0.2586 0.0000 0.2840
Se2 0.5000 0.1626 0.8261
```

Principal peaks in the range 10° ≤ 2θ ≤ 90°, sorted by position:
Position (°2θ)	Rel. int.	index
14.3	30	0 2 0
26.2	82	0 3 1
26.8	92	2 1 1
33.9	24	2 3 1
39.5	100	2 2 2
43.1	31	4 0 0
45.2	62	2 5 1
50.4	26	0 3 3



Entry 7:
The following is a calculated powder diffractogram of K2Sc2SiSe6. It was derived from a PBE-relaxed structure, using Cu Kα (weighted mean of Kα1 and Kα2).
Peak positions follow from Bragg's law for the DFT cell and can differ from measured ones.

Structural model:
```
data_K2Sc2SiSe6
_chemical_formula_sum 'K4 Sc4 Si2 Se12'
_symmetry_space_group_name_H-M 'C 1 2/m 1'
_symmetry_Int_Tables_number 12
_cell_length_a 6.6911
_cell_length_b 11.5694
_cell_length_c 8.1701
_cell_angle_alpha 90.00
_cell_angle_beta 106.94
_cell_angle_gamma 90.00
loop_
_symmetry_equiv_pos_as_xyz
'x,y,z'
'-x,-y,-z'
'-x,y,-z'
'x,-y,z'
'x+1/2,y+1/2,z'
'-x+1/2,-y+1/2,-z'
'-x+1/2,y+1/2,-z'
'x+1/2,-y+1/2,z'
loop_
_atom_site_label
_atom_site_fract_x
_atom_site_fract_y
_atom_site_fract_z
K1 0.0000 0.1725 0.0000
Sc1 0.0000 0.3311 0.5000
Si1 0.0000 0.0000 0.5000
Se1 0.2232 0.1539 0.6866
Se2 0.2405 0.0000 0.3186
```

Principal peaks in the range 10° ≤ 2θ ≤ 90°, sorted by position:
Position (°2θ)	Rel. int.	index
11.3	77	0 0 1
27.7	20	1 3 -1
30.5	45	2 0 -2
30.9	100	1 3 1
34.4	17	0 0 3
38.2	24	1 3 2
40.8	20	1 3 -3
47.1	48	0 6 0